Simulated powder diffraction line list of BaCaMn2Cl8 for Cu Kα (weighted mean of Kα1 and Kα2), from a PBE-relaxed structure.
Lines closer than 0.1° are merged.

a b c (Å): 6.5885 6.5885 9.2939
angles (deg): 90.00 90.00 120.00
Space group P-3 (No. 147)
Unique sites:
1 Ba 0.0000 0.0000 0.0000 [1 per cell]
2 Ca 0.0000 0.0000 0.5000 [1 per cell]
3 Mn 0.3333 0.6667 0.7535 [2 per cell]
4 Cl 0.0032 0.6918 0.3038 [6 per cell]
5 Cl 0.3333 0.6667 0.0024 [2 per cell]

Top 12 peaks for 10 to 90 degrees two-theta, sorted by position:
2θ/deg	I/Imax
15.53	24
18.24	37
24.71	51
27.07	41
28.77	100
32.87	23
33.34	44
36.97	27
46.42	25
47.87	74
56.79	24
89.23	17

---

Simulated powder diffraction line list of BaCaPb2Cl8 for Cu Kα (weighted mean of Kα1 and Kα2), from a PBE-relaxed structure.
Lines closer than 0.1° are merged.

a b c (Å): 6.6678 9.0060 6.7800
angles (deg): 90.00 90.65 90.00
Space group P2/m (No. 10)
Unique sites:
1 Ba 0.0000 0.0000 0.0000 [1 per cell]
2 Ca 0.0000 0.5000 0.0000 [1 per cell]
3 Pb 0.5000 0.2609 0.5000 [2 per cell]
4 Cl 0.2283 0.2735 0.1600 [4 per cell]
5 Cl 0.2615 0.5000 0.6756 [2 per cell]
6 Cl 0.2778 0.0000 0.6425 [2 per cell]

Top 12 peaks for 10 to 90 degrees two-theta, sorted by position:
2θ/deg	I/Imax
13.06	30
18.56	100
18.77	97
23.72	53
23.85	88
27.20	49
29.71	29
35.67	39
35.92	92
36.16	55
44.53	40
44.88	40

---

Simulated powder diffraction line list of Ba2CaS2Cl2 for Cu Kα (weighted mean of Kα1 and Kα2), from a PBE-relaxed structure.
Lines closer than 0.1° are merged.

a b c (Å): 5.3378 5.3378 15.7552
angles (deg): 90.00 90.00 90.00
Space group I4/mmm (No. 139)
Unique sites:
1 Ba 0.0000 0.0000 0.1207 [4 per cell]
2 Ca 0.0000 0.0000 0.5000 [2 per cell]
3 S 0.0000 0.5000 0.0000 [4 per cell]
4 Cl 0.0000 0.0000 0.3158 [4 per cell]

Top 12 peaks for 10 to 90 degrees two-theta, sorted by position:
2θ/deg	I/Imax
17.54	54
23.57	100
23.77	41
32.87	75
33.01	86
33.58	81
41.56	20
47.80	58
48.22	28
54.37	24
59.62	41
80.12	18